Entry 1:
Diffraction record for SrPa2TaS8. The X-ray powder pattern is calculated, not measured: it uses DFT lattice parameters and positions (GGA-PBE) and CuKα.

Peak list (8 most intense, 2θ from 10° to 80°, in order of rising 2θ)
20.12 deg, rel. 1000, hkl 1 0 -1
20.50 deg, rel. 927, hkl 1 0 1
25.85 deg, rel. 668, hkl 0 2 1
26.30 deg, rel. 893, hkl 1 2 0
29.72 deg, rel. 360, hkl 2 0 0
38.61 deg, rel. 389, hkl 1 2 -2
39.55 deg, rel. 463, hkl 2 2 -1
39.97 deg, rel. 447, hkl 2 2 1

Atomic structure:
a b c (Å): 6.0199 8.2024 6.3633
angles (deg): 90.00 91.08 90.00
Space group P2/m (No. 10)
Unique sites:
1 Sr 0.0000 0.0000 0.0000 x1
2 Pa 0.5000 0.2563 0.5000 x2
3 Ta 0.0000 0.5000 0.0000 x1
4 S 0.2300 0.2918 0.1667 x4
5 S 0.2639 0.5000 0.6826 x2
6 S 0.2749 0.0000 0.6323 x2

***

Entry 2:
Diffraction record for YTmAg2S4. The X-ray powder pattern is calculated, not measured: it uses DFT lattice parameters and positions (GGA-PBE) and CuKα.

Peak list (8 most intense, 2θ from 10° to 80°, in order of rising 2θ)
27.39 deg, rel. 495, hkl 1 1 -1
27.75 deg, rel. 239, hkl 0 0 2
28.80 deg, rel. 220, hkl 2 0 0
31.73 deg, rel. 531, hkl 2 0 -2
32.51 deg, rel. 1000, hkl 1 1 1
45.37 deg, rel. 379, hkl 1 1 -3
46.76 deg, rel. 343, hkl 3 1 -1
56.53 deg, rel. 260, hkl 2 2 -2

Atomic structure:
a b c (Å): 6.6853 3.9876 6.9338
angles (deg): 90.00 111.97 90.00
Space group P2/m (No. 10)
Unique sites:
1 Y 0.0000 0.0000 0.0000 x1
2 Tm 0.0000 0.5000 0.5000 x1
3 Ag 0.5000 0.0000 0.5000 x1
4 Ag 0.5000 0.5000 0.0000 x1
5 S 0.2375 0.0000 0.7493 x2
6 S 0.2382 0.5000 0.2564 x2

***

Entry 3:
Diffraction record for AcTb8Sm5. The X-ray powder pattern is calculated, not measured: it uses DFT lattice parameters and positions (GGA-PBE) and CuKα.

Peak list (8 most intense, 2θ from 10° to 80°, in order of rising 2θ)
29.93 deg, rel. 352, hkl 3 1 1
31.10 deg, rel. 413, hkl 1 1 3
31.32 deg, rel. 1000, hkl 2 0 -5
31.42 deg, rel. 468, hkl 4 0 4
31.65 deg, rel. 446, hkl 3 1 -2
46.04 deg, rel. 165, hkl 7 1 2
55.87 deg, rel. 155, hkl 2 0 9
61.14 deg, rel. 439, hkl 2 2 -5

Atomic structure:
a b c (Å): 17.4315 3.5782 15.1001
angles (deg): 90.00 90.24 90.00
Space group Cm (No. 8)
Unique sites:
1 Ac 0.0000 0.0000 0.0000 x2
2 Tb 0.0564 0.0000 0.2214 x2
3 Tb 0.0928 0.0000 0.6364 x2
4 Tb 0.1797 0.5000 0.0672 x2
5 Tb 0.2218 0.5000 0.2806 x2
6 Tb 0.2817 0.5000 0.6937 x2
7 Tb 0.3567 0.0000 0.1464 x2
8 Tb 0.4252 0.0000 0.5690 x2
9 Tb 0.4635 0.0000 0.7863 x2
10 Sm 0.0740 0.5000 0.4286 x2
11 Sm 0.1586 0.0000 0.8516 x2
12 Sm 0.2479 0.0000 0.4812 x2
13 Sm 0.3227 0.5000 0.9227 x2
14 Sm 0.4008 0.5000 0.3650 x2